Starting from a cell relaxed with PBE, the X-ray powder pattern of K3Ag4Te4 was computed for λ = 1.5418 Å (Cu Kα).

Cell and atoms:
```
data_K3Ag4Te4
_chemical_formula_sum 'K3 Ag4 Te4'
_space_group_name_H-M_alt 'P 1'
_space_group_IT_number 1
_cell_length_a 9.3096
_cell_length_b 9.3096
_cell_length_c 9.3096
_cell_angle_alpha 147.90
_cell_angle_beta 131.53
_cell_angle_gamma 59.33
loop_
_space_group_symop_operation_xyz
'x,y,z'
loop_
_atom_site_label
_atom_site_type_symbol
_atom_site_fract_x
_atom_site_fract_y
_atom_site_fract_z
K1 K 0.0000 0.0000 0.0000
K2 K 0.3795 0.8795 0.5000
K3 K 0.6205 0.1205 0.5000
Ag1 Ag 0.0187 0.3292 0.6896
Ag2 Ag 0.3604 0.6708 0.6896
Ag3 Ag 0.6396 0.3292 0.3104
Ag4 Ag 0.9813 0.6708 0.3104
Te1 Te 0.2222 0.2222 0.0000
Te2 Te 0.2876 0.5000 0.7876
Te3 Te 0.7124 0.5000 0.2124
Te4 Te 0.7778 0.7778 0.0000
```

Largest 12 diffraction maxima, sorted by position, 10 to 90 degrees two-theta:
d [Å]	2theta	I_rel
8.090	10.9	307
4.905	18.1	612
4.406	20.2	303
3.015	29.6	1000
2.936	30.4	660
2.574	34.9	679
2.304	39.1	248
2.226	40.5	638
2.203	41.0	310
2.197	41.1	507
1.674	54.9	261
1.276	74.3	270